AlCd3Pd6: calculated powder X-ray diffraction pattern (Cu Kα), based on a GGA-PBE-relaxed structure.
Lines closer than 0.1° are merged.

Most intense lines, 2θ = 5–70°, most intense first:
- (3 1 -1), 38.8 deg, d 2.318, intensity 100
- (0 2 0), 42.4 deg, d 2.129, intensity 21
- (2 0 -4), 42.6 deg, d 2.125, intensity 20
- (2 2 -4), 61.7 deg, d 1.504, intensity 13
- (4 2 2), 67.8 deg, d 1.383, intensity 12
- (4 0 2), 50.1 deg, d 1.819, intensity 10
- (2 0 6), 67.8 deg, d 1.381, intensity 4
- (2 1 -1), 30.7 deg, d 2.915, intensity 3
- (0 1 3), 36.2 deg, d 2.483, intensity 3
- (3 0 2), 39.9 deg, d 2.261, intensity 2

Atomic structure:
```
AlCd3Pd6
1.0
8.4295 0.0000 0.0000
0.0000 4.2589 0.0000
-1.1470 0.0000 9.1708
Al Cd Pd
2 6 12
direct
0.0581 0.2500 0.3831
0.9419 0.7500 0.6169
0.2409 0.2500 0.9990
0.3474 0.7500 0.7916
0.4514 0.2500 0.5988
0.5486 0.7500 0.4012
0.6526 0.2500 0.2084
0.7591 0.7500 0.0010
0.0502 0.7500 0.8872
0.1245 0.2500 0.6730
0.1502 0.7500 0.1915
0.2169 0.7500 0.4903
0.3397 0.2500 0.3024
0.4516 0.7500 0.0982
0.5484 0.2500 0.9018
0.6603 0.7500 0.6976
0.7831 0.2500 0.5097
0.8498 0.2500 0.8085
0.8755 0.7500 0.3270
0.9498 0.2500 0.1128
```